This entry pairs a crystal structure of YO with its computed powder X-ray diffraction pattern. Radiation: CuKα. Structure: a GGA-PBE-relaxed structure.
Neutral-atom scattering factors, no anomalous dispersion.

Peak list (6 most intense, 2θ = 10–80°, sorted by position)
two_theta	d/Å	I/Imax
25.63	3.475	63.5
31.69	2.823	100.0
37.13	2.421	30.4
45.19	2.007	50.5
45.67	1.987	24.4
59.87	1.545	41.1

```
data_YO
_space_group_name_H-M_alt 'P 63/m m c'
_space_group_IT_number 194
_space_group_name_Hall '-P 6c 2c'
_cell_length_a 4.0131
_cell_length_b 4.0131
_cell_length_c 4.8422
_cell_angle_alpha 90.00
_cell_angle_beta 90.00
_cell_angle_gamma 120.00
loop_
_atom_site_label
_atom_site_fract_x
_atom_site_fract_y
_atom_site_fract_z
Y1 0.3333 0.6667 0.2500
O1 0.3333 0.6667 0.7500
```